Sr2TiFeO6: theoretical powder XRD pattern (Cu Ka), based on DFT lattice parameters and positions (GGA+U).
No peak broadening, texture or thermal motion is included.

Cell and atoms:
Cell: 3.937 7.840 7.874 Å, 90.00 90.00 90.00°
Element x y z (fractional)
1 Sr 0.000 0.245 0.000
2 Sr 0.000 0.245 0.500
3 Sr 0.000 0.755 0.000
4 Sr 0.000 0.755 0.500
5 Ti 0.500 0.500 0.250
6 Ti 0.500 0.500 0.750
7 Fe 0.500 0.000 0.249
8 Fe 0.500 0.000 0.751
9 O 0.000 0.000 0.251
10 O 0.000 0.000 0.749
11 O 0.000 0.500 0.250
12 O 0.000 0.500 0.750
13 O 0.500 0.000 0.000
14 O 0.500 0.000 0.500
15 O 0.500 0.250 0.250
16 O 0.500 0.250 0.750
17 O 0.500 0.500 0.000
18 O 0.500 0.500 0.500
19 O 0.500 0.750 0.250
20 O 0.500 0.750 0.750

Top 12 peaks for 5 to 70 degrees two-theta, in order of rising 2θ:
- (0 1 0), 11.3°, d 7.840, I = 1
- (1 0 0), 22.6°, d 3.931, I = 2
- (1 0 2), 32.2°, d 2.780, I = 100
- (1 2 2), 39.7°, d 2.270, I = 17
- (2 0 0), 46.1°, d 1.968, I = 27
- (0 4 0), 46.3°, d 1.960, I = 13
- (2 0 2), 52.0°, d 1.760, I = 1
- (1 4 0), 52.1°, d 1.755, I = 1
- (2 2 2), 57.4°, d 1.606, I = 25
- (1 4 2), 57.5°, d 1.603, I = 12
- (2 0 4), 67.3°, d 1.392, I = 8
- (2 4 0), 67.4°, d 1.389, I = 15